Structure and calculated powder diffraction line list of NiH8S2N4O8 (a cell relaxed with PBE+U; Cu Kα (weighted mean of Kα1 and Kα2)).
No peak broadening, texture or thermal motion is included.

```
data_NiH8S2N4O8
_chemical_formula_sum 'Ni1 H8 S2 N4 O8'
_space_group_name_H-M_alt 'P -1'
_space_group_IT_number 2
_cell_length_a 5.0164
_cell_length_b 6.3505
_cell_length_c 7.9062
_cell_angle_alpha 85.67
_cell_angle_beta 72.27
_cell_angle_gamma 89.01
loop_
_space_group_symop_operation_xyz
'x,y,z'
'-x,-y,-z'
loop_
_atom_site_label
_atom_site_type_symbol
_atom_site_fract_x
_atom_site_fract_y
_atom_site_fract_z
_atom_site_occupancy
Ni1 Ni 0.0000 0.0000 0.0000 1
H1 H 0.0237 0.8777 0.3312 1
H2 H 0.0693 0.5309 0.2719 1
H3 H 0.2970 0.4773 0.7248 1
H4 H 0.3361 0.1245 0.6656 1
S1 S 0.3909 0.1988 0.1982 1
N1 N 0.1227 0.3971 0.7150 1
N2 N 0.1359 0.1893 0.7061 1
O1 O 0.1497 0.2138 0.1230 1
O2 O 0.3439 0.8189 0.9494 1
O3 O 0.3498 0.0115 0.3299 1
O4 O 0.3909 0.3982 0.2859 1
```

Most intense lines, 2θ = 10–90°, low angle first:
2θ (°)	Rel. int.	(hkl)
11.78	100	0 0 1
13.99	69	0 1 0
18.99	75	0 1 -1
22.99	33	1 1 1
23.25	33	1 -1 0
28.21	73	1 1 2
28.51	42	0 1 -2
35.82	29	2 0 1